[1]
Structure and computed X-ray powder pattern of TmTiIn (a crystal structure in Alexandria, relaxed with GGA-PBE; Cu Kα (weighted mean of Kα1 and Kα2)).
No peak broadening, texture or thermal motion is included.

Structure:
abc: 4.997 4.997 3.295
angles: 90.00 90.00 120.00
Element x y z (fractional)
1 Tm 0.000 0.000 0.000
2 Ti 0.667 0.333 0.500
3 In 0.333 0.667 0.500

Main lines, in order of rising 2θ (2θ = 10–90°):
2θ (°), d_spacing, I_rel
20.52, 4.328, 29
34.20, 2.622, 100
35.94, 2.499, 73
41.74, 2.164, 5
50.46, 1.809, 33
55.81, 1.647, 7
56.24, 1.636, 4
63.50, 1.465, 33
64.61, 1.443, 13
68.18, 1.375, 22
76.20, 1.249, 8
86.25, 1.128, 14

---

[2]
Structure and computed X-ray powder pattern of YTi2In2 (a crystal structure in Alexandria, relaxed with GGA-PBE; Cu Kα (weighted mean of Kα1 and Kα2)).
No peak broadening, texture or thermal motion is included.

Structure:
abc: 8.103 8.103 3.368
angles: 90.00 90.00 90.00
Element x y z (fractional)
1 Y 0.000 0.000 0.000
2 Y 0.500 0.500 0.000
3 Ti 0.173 0.327 0.500
4 Ti 0.327 0.827 0.500
5 Ti 0.673 0.173 0.500
6 Ti 0.827 0.673 0.500
7 In 0.127 0.627 0.000
8 In 0.373 0.127 0.000
9 In 0.627 0.873 0.000
10 In 0.873 0.373 0.000

Main lines, in order of rising 2θ (2θ = 10–90°):
2θ (°), d_spacing, I_rel
24.57, 3.624, 23
26.46, 3.368, 27
34.63, 2.590, 19
35.02, 2.562, 64
36.42, 2.467, 100
40.13, 2.247, 19
44.42, 2.039, 28
48.71, 1.869, 17
54.48, 1.684, 12
64.88, 1.437, 16
66.43, 1.407, 18
68.27, 1.374, 14